Theoretical powder diffraction line list
Compound: Nd9Y4In11
Radiation: a wavelength of 1.5418 Å
Structure: a crystal structure in Alexandria, relaxed with GGA-PBE
Peak positions follow from Bragg's law for the DFT cell and can differ from measured ones.

Cell and atoms:
```
Nd9Y4In11
1.0
9.0404 -10.8160 0.0000
9.0404 10.8160 0.0000
0.0000 0.0000 3.5378
Nd Y In
9 4 11
Direct
0.0000 0.0000 0.0000
0.1264 0.6425 0.0000
0.2912 0.4646 0.0000
0.3575 0.8736 0.0000
0.4646 0.2912 0.0000
0.5354 0.7088 0.0000
0.6425 0.1264 0.0000
0.7088 0.5354 0.0000
0.8736 0.3575 0.0000
0.0676 0.2377 0.0000
0.2377 0.0676 0.0000
0.7623 0.9324 0.0000
0.9324 0.7623 0.0000
0.0786 0.4326 0.5000
0.1350 0.8650 0.5000
0.2605 0.2605 0.5000
0.3330 0.6670 0.5000
0.4326 0.0786 0.5000
0.5000 0.5000 0.5000
0.5674 0.9214 0.5000
0.6670 0.3330 0.5000
0.7395 0.7395 0.5000
0.8650 0.1350 0.5000
0.9214 0.5674 0.5000
```

The 10 most intense peaks (2θ = 15–90°), sorted by position:
- 31.8°, intensity 100
- 32.1°, intensity 83
- 33.1°, intensity 16
- 35.6°, intensity 58
- 39.9°, intensity 23
- 51.7°, intensity 15
- 54.5°, intensity 23
- 56.8°, intensity 11
- 61.2°, intensity 14
- 61.9°, intensity 26